1.
Structure and simulated powder diffraction line list of Sr10Cu5Mo3W2O30 (a crystal structure in the Materials Project, relaxed with PBE+U; Cu Kα X-rays).
Intensities are scaled so that the largest is 100.

Principal peaks in the range 2θ = 15–90°, in order of rising 2θ:
2theta	Rel. int.
19.25	13
31.22	100
32.59	49
42.63	20
46.76	28
54.67	22
57.30	39
65.12	19
70.93	10
89.33	12

Structure:
Cell lengths 5.495, 5.752, 23.219 Å; angles 87.26, 83.22, 61.48 degrees
Atoms (fractional coordinates):
Sr (0.050, 0.050, 0.350)
Sr (0.150, 0.150, 0.050)
Sr (0.250, 0.250, 0.749)
Sr (0.350, 0.350, 0.450)
Sr (0.450, 0.450, 0.150)
Sr (0.550, 0.550, 0.850)
Sr (0.650, 0.650, 0.550)
Sr (0.750, 0.750, 0.251)
Sr (0.850, 0.850, 0.950)
Sr (0.950, 0.950, 0.650)
Cu (0.099, 0.100, 0.200)
Cu (0.300, 0.300, 0.600)
Cu (0.500, 0.500, 0.000)
Cu (0.700, 0.700, 0.400)
Cu (0.901, 0.900, 0.800)
Mo (0.000, 0.000, 0.500)
Mo (0.400, 0.400, 0.300)
Mo (0.600, 0.600, 0.700)
W (0.201, 0.199, 0.900)
W (0.799, 0.801, 0.100)
O (0.011, 0.921, 0.140)
O (0.062, 0.521, 0.854)
O (0.083, 0.575, 0.358)
O (0.117, 0.625, 0.042)
O (0.138, 0.679, 0.546)
O (0.189, 0.279, 0.260)
O (0.211, 0.120, 0.540)
O (0.263, 0.721, 0.254)
O (0.282, 0.775, 0.758)
O (0.317, 0.825, 0.442)
O (0.338, 0.878, 0.946)
O (0.389, 0.480, 0.660)
O (0.412, 0.320, 0.940)
O (0.462, 0.922, 0.654)
O (0.482, 0.975, 0.158)
O (0.518, 0.025, 0.842)
O (0.538, 0.078, 0.346)
O (0.588, 0.680, 0.060)
O (0.611, 0.520, 0.340)
O (0.662, 0.122, 0.054)
O (0.683, 0.175, 0.558)
O (0.718, 0.225, 0.242)
O (0.737, 0.279, 0.746)
O (0.789, 0.880, 0.460)
O (0.811, 0.721, 0.740)
O (0.862, 0.321, 0.454)
O (0.883, 0.375, 0.958)
O (0.917, 0.425, 0.642)
O (0.938, 0.479, 0.146)
O (0.989, 0.079, 0.860)

***

2.
Structure and simulated powder diffraction line list of Sr2YCu2MoO7 (a crystal structure in the Materials Project, relaxed with PBE+U; Cu Kα X-rays).
Intensities are scaled so that the largest is 100.

Principal peaks in the range 2θ = 15–90°, in order of rising 2θ:
2theta	Rel. int.
27.08	10
32.00	43
32.31	100
37.94	30
38.22	21
45.83	20
46.83	13
57.21	16
61.15	10
61.77	16

Structure:
Cell lengths 12.472, 12.472, 5.543 Å; angles 102.57, 102.57, 143.75 degrees
Atoms (fractional coordinates):
Sr (0.106, 0.894, 0.000)
Sr (0.350, 0.567, 0.957)
Sr (0.567, 0.350, 0.957)
Sr (0.894, 0.106, 0.000)
Y (0.238, 0.740, 0.992)
Y (0.740, 0.238, 0.992)
Cu (0.169, 0.795, 0.485)
Cu (0.300, 0.675, 0.491)
Cu (0.675, 0.300, 0.491)
Cu (0.795, 0.169, 0.485)
Mo (0.576, 0.576, 0.508)
Mo (0.882, 0.882, 0.407)
O (0.030, 0.401, 0.448)
O (0.063, 0.441, 0.989)
O (0.099, 0.950, 0.564)
O (0.399, 0.549, 0.450)
O (0.401, 0.030, 0.448)
O (0.441, 0.063, 0.989)
O (0.525, 0.525, 0.077)
O (0.531, 0.902, 0.988)
O (0.549, 0.399, 0.450)
O (0.567, 0.943, 0.528)
O (0.861, 0.861, 0.010)
O (0.902, 0.531, 0.988)
O (0.943, 0.567, 0.528)
O (0.950, 0.099, 0.564)

***

3.
Structure and simulated powder diffraction line list of TmCuMo2O8 (a crystal structure in the Materials Project, relaxed with PBE+U; Cu Kα X-rays).
Intensities are scaled so that the largest is 100.

Principal peaks in the range 2θ = 15–90°, in order of rising 2θ:
2theta	Rel. int.
23.57	39
29.12	100
29.92	94
30.34	23
35.25	26
35.48	27
50.01	24
50.86	16
52.19	18
62.19	17

Structure:
Cell lengths 7.675, 7.675, 5.064 Å; angles 91.31, 91.31, 100.29 degrees
Atoms (fractional coordinates):
Tm (0.153, 0.847, 0.750)
Tm (0.847, 0.153, 0.250)
Cu (0.340, 0.660, 0.250)
Cu (0.660, 0.340, 0.750)
Mo (0.175, 0.352, 0.743)
Mo (0.352, 0.175, 0.243)
Mo (0.648, 0.825, 0.757)
Mo (0.825, 0.648, 0.257)
O (0.051, 0.683, 0.396)
O (0.097, 0.196, 0.041)
O (0.196, 0.097, 0.541)
O (0.199, 0.572, 0.900)
O (0.305, 0.413, 0.432)
O (0.317, 0.949, 0.104)
O (0.413, 0.305, 0.932)
O (0.428, 0.801, 0.600)
O (0.572, 0.199, 0.400)
O (0.587, 0.695, 0.068)
O (0.683, 0.051, 0.896)
O (0.695, 0.587, 0.568)
O (0.801, 0.428, 0.100)
O (0.804, 0.903, 0.459)
O (0.903, 0.804, 0.959)
O (0.949, 0.317, 0.604)